No. 1
The following is a simulated X-ray diffraction stick pattern of Er4Pt3. It was derived from a DFT-relaxed cell (GGA-PBE, Alexandria), using Cu Kα (weighted mean of Kα1 and Kα2).

Crystal structure
```
data_Er4Pt3
_chemical_formula_sum 'Er24 Pt18'
_cell_length_a 12.0069
_cell_length_b 12.0069
_cell_length_c 7.6934
_cell_angle_alpha 90.00
_cell_angle_beta 90.00
_cell_angle_gamma 120.00
_space_group_name_H-M_alt 'R -3'
_space_group_IT_number 148
_space_group_name_Hall '-R 3'
loop_
_atom_site_label
_atom_site_type_symbol
_atom_site_fract_x
_atom_site_fract_y
_atom_site_fract_z
Er1 Er 0.0000 0.0000 0.0000
Er2 Er 0.0000 0.0000 0.5000
Er3 Er 0.0290 0.5793 0.2994
Pt1 Pt 0.0405 0.8295 0.2589
```

Top 10 peaks for 2θ = 10–90°, sorted by position:
- 32.6°, d 2.749, rel. 95, (1 2 2)
- 33.2°, d 2.700, rel. 100, (1 3 1)
- 38.2°, d 2.358, rel. 29, (1 1 3)
- 39.0°, d 2.307, rel. 47, (4 -1 2)
- 39.7°, d 2.269, rel. 58, (4 1 0)
- 43.9°, d 2.062, rel. 15, (0 3 3)
- 46.6°, d 1.950, rel. 16, (4 -2 3)
- 55.0°, d 1.669, rel. 13, (7 -3 1)
- 70.3°, d 1.340, rel. 16, (5 1 4)
- 74.0°, d 1.282, rel. 14, (0 8 1)


No. 2
The following is a simulated X-ray diffraction stick pattern of ErPt4. It was derived from a DFT-relaxed cell (GGA-PBE, Alexandria), using Cu Kα (weighted mean of Kα1 and Kα2).

Crystal structure
```
data_ErPt4
_chemical_formula_sum 'Er4 Pt16'
_cell_length_a 4.275
_cell_length_b 5.761
_cell_length_c 14.018
_cell_angle_alpha 90.00
_cell_angle_beta 90.00
_cell_angle_gamma 90.00
_space_group_name_H-M_alt 'I m m a'
_space_group_IT_number 74
_space_group_name_Hall '-I 2b 2'
loop_
_atom_site_label
_atom_site_type_symbol
_atom_site_fract_x
_atom_site_fract_y
_atom_site_fract_z
Er1 Er 0.000 0.250 0.107
Pt1 Pt 0.000 0.000 0.500
Pt2 Pt 0.000 0.013 0.694
Pt3 Pt 0.000 0.250 0.895
```

Top 10 peaks for 2θ = 10–90°, sorted by position:
- 38.2°, d 2.355, rel. 87, (1 2 1)
- 38.4°, d 2.344, rel. 100, (1 0 5)
- 40.5°, d 2.225, rel. 33, (0 2 4)
- 42.3°, d 2.137, rel. 39, (2 0 0)
- 42.5°, d 2.127, rel. 14, (1 2 3)
- 50.3°, d 1.814, rel. 21, (0 2 6)
- 60.0°, d 1.541, rel. 21, (2 2 4)
- 67.7°, d 1.383, rel. 18, (2 2 6)
- 74.7°, d 1.270, rel. 15, (3 0 5)
- 77.9°, d 1.227, rel. 30, (1 4 5)


No. 3
The following is a simulated X-ray diffraction stick pattern of ErPu5Pt5. It was derived from a DFT-relaxed cell (GGA-PBE, Alexandria), using Cu Kα (weighted mean of Kα1 and Kα2).

Crystal structure
```
data_ErPu5Pt5
_chemical_formula_sum 'Er2 Pu10 Pt10'
_cell_length_a 12.848
_cell_length_b 5.723
_cell_length_c 8.072
_cell_angle_alpha 90.00
_cell_angle_beta 107.87
_cell_angle_gamma 90.00
_space_group_name_H-M_alt 'C 1 2/m 1'
_space_group_IT_number 12
loop_
_space_group_symop_operation_xyz
'x,y,z'
'-x,-y,-z'
'-x,y,-z'
'x,-y,z'
'x+1/2,y+1/2,z'
'-x+1/2,-y+1/2,-z'
'-x+1/2,y+1/2,-z'
'x+1/2,-y+1/2,z'
loop_
_atom_site_label
_atom_site_type_symbol
_atom_site_fract_x
_atom_site_fract_y
_atom_site_fract_z
Er1 Er 0.000 0.000 0.000
Pu1 Pu 0.000 0.000 0.500
Pu2 Pu 0.161 0.500 0.334
Pu3 Pu 0.170 0.500 0.839
Pt1 Pt 0.000 0.500 0.000
Pt2 Pt 0.165 0.000 0.825
Pt3 Pt 0.167 0.000 0.337
```

Top 10 peaks for 2θ = 10–90°, sorted by position:
- 31.1°, d 2.879, rel. 51, (2 0 2)
- 31.3°, d 2.859, rel. 100, (0 2 0)
- 44.5°, d 2.038, rel. 19, (6 0 0)
- 44.7°, d 2.029, rel. 38, (2 2 2)
- 44.9°, d 2.020, rel. 57, (4 2 -2)
- 55.3°, d 1.660, rel. 20, (6 2 0)
- 55.7°, d 1.649, rel. 20, (2 2 -4)
- 73.7°, d 1.285, rel. 13, (4 2 4)
- 74.1°, d 1.280, rel. 13, (4 4 -2)
- 82.3°, d 1.171, rel. 13, (6 4 0)


No. 4
The following is a simulated X-ray diffraction stick pattern of Er5Pt2Rh. It was derived from a DFT-relaxed cell (GGA-PBE, Alexandria), using Cu Kα (weighted mean of Kα1 and Kα2).

Crystal structure
```
data_Er5Pt2Rh
_chemical_formula_sum 'Er10 Pt4 Rh2'
_cell_length_a 7.611
_cell_length_b 11.882
_cell_length_c 4.239
_cell_angle_alpha 90.00
_cell_angle_beta 90.00
_cell_angle_gamma 90.00
_space_group_name_H-M_alt 'P b a m'
_space_group_IT_number 55
loop_
_space_group_symop_operation_xyz
'x,y,z'
'-x,-y,-z'
'-x,-y,z'
'x,y,-z'
'x+1/2,-y+1/2,-z'
'-x+1/2,y+1/2,z'
'-x+1/2,y+1/2,-z'
'x+1/2,-y+1/2,z'
loop_
_atom_site_label
_atom_site_type_symbol
_atom_site_fract_x
_atom_site_fract_y
_atom_site_fract_z
Er1 Er 0.000 0.000 0.000
Er2 Er 0.162 0.296 0.000
Er3 Er 0.176 0.592 0.500
Pt1 Pt 0.041 0.826 0.500
Rh1 Rh 0.000 0.500 0.000
```

Top 10 peaks for 2θ = 10–90°, sorted by position:
- 28.4°, d 3.143, rel. 47, (1 2 1)
- 32.4°, d 2.767, rel. 45, (1 4 0)
- 32.5°, d 2.755, rel. 97, (2 1 1)
- 32.6°, d 2.744, rel. 25, (2 3 0)
- 33.1°, d 2.705, rel. 75, (1 3 1)
- 35.1°, d 2.556, rel. 100, (2 2 1)
- 36.2°, d 2.481, rel. 32, (3 1 0)
- 37.0°, d 2.433, rel. 56, (0 4 1)
- 42.7°, d 2.120, rel. 57, (0 0 2)
- 45.3°, d 2.000, rel. 29, (1 5 1)


No. 5
The following is a simulated X-ray diffraction stick pattern of Er4Pt3Rh. It was derived from a DFT-relaxed cell (GGA-PBE, Alexandria), using Cu Kα (weighted mean of Kα1 and Kα2).

Crystal structure
```
data_Er4Pt3Rh
_chemical_formula_sum 'Er8 Pt6 Rh2'
_cell_length_a 4.888
_cell_length_b 4.888
_cell_length_c 13.723
_cell_angle_alpha 90.00
_cell_angle_beta 90.00
_cell_angle_gamma 90.00
_space_group_name_H-M_alt 'I 4/m m m'
_space_group_IT_number 139
_space_group_name_Hall '-I 4 2'
loop_
_atom_site_label
_atom_site_type_symbol
_atom_site_fract_x
_atom_site_fract_y
_atom_site_fract_z
Er1 Er 0.000 0.500 0.124
Pt1 Pt 0.000 0.000 0.000
Pt2 Pt 0.000 0.000 0.255
Rh1 Rh 0.000 0.000 0.500
```

Top 10 peaks for 2θ = 10–90°, sorted by position:
- 26.7°, d 3.340, rel. 2, (1 0 3)
- 36.8°, d 2.444, rel. 51, (2 0 0)
- 36.9°, d 2.435, rel. 100, (1 1 4)
- 53.0°, d 1.728, rel. 18, (2 2 0)
- 53.4°, d 1.715, rel. 9, (0 0 8)
- 66.3°, d 1.409, rel. 36, (3 1 4)
- 66.6°, d 1.404, rel. 18, (2 0 8)
- 78.2°, d 1.222, rel. 6, (4 0 0)
- 78.6°, d 1.217, rel. 11, (2 2 8)
- 89.8°, d 1.092, rel. 17, (4 2 0)


No. 6
The following is a simulated X-ray diffraction stick pattern of Er2Si2PtRh5. It was derived from a DFT-relaxed cell (GGA-PBE, Alexandria), using Cu Kα (weighted mean of Kα1 and Kα2).

Crystal structure
```
data_Er2Si2PtRh5
_chemical_formula_sum 'Er4 Si4 Pt2 Rh10'
_cell_length_a 9.604
_cell_length_b 9.604
_cell_length_c 3.528
_cell_angle_alpha 90.00
_cell_angle_beta 90.00
_cell_angle_gamma 90.00
_space_group_name_H-M_alt 'P 4/m b m'
_space_group_IT_number 127
_space_group_name_Hall '-P 4 2ab'
loop_
_atom_site_label
_atom_site_type_symbol
_atom_site_fract_x
_atom_site_fract_y
_atom_site_fract_z
Er1 Er 0.176 0.324 0.000
Si1 Si 0.124 0.624 0.000
Pt1 Pt 0.000 0.000 0.000
Rh1 Rh 0.000 0.500 0.500
Rh2 Rh 0.069 0.786 0.500
```

Top 10 peaks for 2θ = 10–90°, sorted by position:
- 32.9°, d 2.726, rel. 47, (2 1 1)
- 36.7°, d 2.447, rel. 35, (2 2 1)
- 38.7°, d 2.329, rel. 48, (4 1 0)
- 39.1°, d 2.302, rel. 100, (3 1 1)
- 42.1°, d 2.147, rel. 27, (4 2 0)
- 42.5°, d 2.126, rel. 21, (3 2 1)
- 51.8°, d 1.764, rel. 20, (0 0 2)
- 63.9°, d 1.458, rel. 14, (6 0 1)
- 66.5°, d 1.406, rel. 19, (4 1 2)
- 74.9°, d 1.268, rel. 12, (7 1 1)


No. 7
The following is a simulated X-ray diffraction stick pattern of Er2Si4Pt3Rh. It was derived from a DFT-relaxed cell (GGA-PBE, Alexandria), using Cu Kα (weighted mean of Kα1 and Kα2).

Crystal structure
```
data_Er2Si4Pt3Rh
_chemical_formula_sum 'Er2 Si4 Pt3 Rh1'
_cell_length_a 4.099
_cell_length_b 4.099
_cell_length_c 10.087
_cell_angle_alpha 90.00
_cell_angle_beta 90.00
_cell_angle_gamma 90.00
_space_group_name_H-M_alt 'P -4 m 2'
_space_group_IT_number 115
loop_
_space_group_symop_operation_xyz
'x,y,z'
'y,-x,-z'
'-x,-y,z'
'-y,x,-z'
'-x,y,z'
'-y,-x,-z'
'x,-y,z'
'y,x,-z'
loop_
_atom_site_label
_atom_site_type_symbol
_atom_site_fract_x
_atom_site_fract_y
_atom_site_fract_z
Er1 Er 0.000 0.500 0.250
Si1 Si 0.000 0.000 0.000
Si2 Si 0.000 0.500 0.635
Si3 Si 0.500 0.500 0.000
Pt1 Pt 0.000 0.500 0.871
Pt2 Pt 0.500 0.500 0.500
Rh1 Rh 0.000 0.000 0.500
```

Top 10 peaks for 2θ = 10–90°, sorted by position:
- 26.5°, d 3.362, rel. 25, (0 0 3)
- 28.1°, d 3.181, rel. 41, (1 0 2)
- 30.9°, d 2.898, rel. 25, (1 1 0)
- 32.1°, d 2.786, rel. 57, (1 1 1)
- 34.5°, d 2.600, rel. 84, (1 0 3)
- 35.7°, d 2.513, rel. 100, (1 1 2)
- 44.2°, d 2.049, rel. 69, (2 0 0)
- 50.4°, d 1.810, rel. 35, (1 0 5)
- 57.2°, d 1.609, rel. 40, (2 1 3)
- 69.3°, d 1.357, rel. 28, (2 1 5)


No. 8
The following is a simulated X-ray diffraction stick pattern of ErSi2PtRh2. It was derived from a DFT-relaxed cell (GGA-PBE, Alexandria), using Cu Kα (weighted mean of Kα1 and Kα2).

Crystal structure
```
data_ErSi2PtRh2
_chemical_formula_sum 'Er1 Si2 Pt1 Rh2'
_cell_length_a 4.504
_cell_length_b 4.504
_cell_length_c 5.504
_cell_angle_alpha 90.00
_cell_angle_beta 90.00
_cell_angle_gamma 90.00
_space_group_name_H-M_alt 'P 4/m m m'
_space_group_IT_number 123
_space_group_name_Hall '-P 4 2'
loop_
_atom_site_label
_atom_site_type_symbol
_atom_site_fract_x
_atom_site_fract_y
_atom_site_fract_z
Er1 Er 0.000 0.000 0.000
Si1 Si 0.000 0.500 0.500
Pt1 Pt 0.000 0.000 0.500
Rh1 Rh 0.500 0.500 0.247
```

Top 10 peaks for 2θ = 10–90°, sorted by position:
- 19.7°, d 4.504, rel. 16, (1 0 0)
- 28.0°, d 3.185, rel. 93, (1 1 0)
- 38.3°, d 2.348, rel. 100, (1 0 2)
- 40.0°, d 2.252, rel. 54, (2 0 0)
- 56.6°, d 1.625, rel. 64, (2 1 2)
- 57.9°, d 1.592, rel. 18, (2 2 0)
- 65.5°, d 1.424, rel. 17, (3 1 0)
- 71.6°, d 1.318, rel. 16, (3 0 2)
- 82.1°, d 1.174, rel. 13, (2 0 4)
- 85.3°, d 1.138, rel. 20, (3 2 2)


No. 9
The following is a simulated X-ray diffraction stick pattern of SmErPtRh. It was derived from a DFT-relaxed cell (GGA-PBE, Alexandria), using Cu Kα (weighted mean of Kα1 and Kα2).

Crystal structure
```
data_SmErPtRh
_chemical_formula_sum 'Sm2 Er2 Pt2 Rh2'
_cell_length_a 4.369
_cell_length_b 3.812
_cell_length_c 10.623
_cell_angle_alpha 90.00
_cell_angle_beta 90.00
_cell_angle_gamma 90.00
_space_group_name_H-M_alt 'A m m 2'
_space_group_IT_number 38
loop_
_space_group_symop_operation_xyz
'x,y,z'
'-x,-y,z'
'-x,y,z'
'x,-y,z'
'x,y+1/2,z+1/2'
'-x,-y+1/2,z+1/2'
'-x,y+1/2,z+1/2'
'x,-y+1/2,z+1/2'
loop_
_atom_site_label
_atom_site_type_symbol
_atom_site_fract_x
_atom_site_fract_y
_atom_site_fract_z
Sm1 Sm 0.000 0.000 0.000
Er1 Er 0.500 0.000 0.282
Pt1 Pt 0.500 0.000 0.561
Rh1 Rh 0.000 0.000 0.735
```

Top 10 peaks for 2θ = 10–90°, sorted by position:
- 32.3°, d 2.773, rel. 100, (1 1 1)
- 33.7°, d 2.656, rel. 29, (0 0 4)
- 34.6°, d 2.594, rel. 21, (0 1 3)
- 39.7°, d 2.269, rel. 24, (1 0 4)
- 40.4°, d 2.231, rel. 66, (1 1 3)
- 41.3°, d 2.184, rel. 30, (2 0 0)
- 47.7°, d 1.906, rel. 20, (0 2 0)
- 54.4°, d 1.687, rel. 15, (2 0 4)
- 64.9°, d 1.436, rel. 16, (2 2 0)
- 74.7°, d 1.270, rel. 18, (1 0 8)


No. 10
The following is a simulated X-ray diffraction stick pattern of Er8Ru3Pt2. It was derived from a DFT-relaxed cell (GGA-PBE, Alexandria), using Cu Kα (weighted mean of Kα1 and Kα2).

Crystal structure
```
data_Er8Ru3Pt2
_chemical_formula_sum 'Er8 Ru3 Pt2'
_cell_length_a 8.306
_cell_length_b 4.775
_cell_length_c 8.318
_cell_angle_alpha 90.00
_cell_angle_beta 109.69
_cell_angle_gamma 90.00
_space_group_name_H-M_alt 'P 1 2/m 1'
_space_group_IT_number 10
loop_
_space_group_symop_operation_xyz
'x,y,z'
'-x,-y,-z'
'-x,y,-z'
'x,-y,z'
loop_
_atom_site_label
_atom_site_type_symbol
_atom_site_fract_x
_atom_site_fract_y
_atom_site_fract_z
Er1 Er 0.120 0.000 0.380
Er2 Er 0.130 0.500 0.870
Er3 Er 0.370 0.500 0.630
Er4 Er 0.379 0.000 0.122
Ru1 Ru 0.251 0.000 0.751
Ru2 Ru 0.500 0.500 0.000
Pt1 Pt 0.250 0.500 0.250
```

Top 10 peaks for 2θ = 10–90°, sorted by position:
- 22.7°, d 3.910, rel. 17, (2 0 0)
- 26.4°, d 3.380, rel. 10, (1 1 1)
- 37.5°, d 2.396, rel. 100, (2 0 2)
- 37.7°, d 2.388, rel. 20, (0 2 0)
- 44.4°, d 2.039, rel. 6, (2 2 0)
- 54.0°, d 1.699, rel. 7, (4 0 -4)
- 54.3°, d 1.690, rel. 14, (2 2 2)
- 67.7°, d 1.384, rel. 17, (1 1 5)
- 67.9°, d 1.381, rel. 21, (5 1 1)
- 80.2°, d 1.197, rel. 7, (4 0 4)


No. 11
The following is a simulated X-ray diffraction stick pattern of Er7PtS5. It was derived from a DFT-relaxed cell (GGA-PBE, Alexandria), using Cu Kα (weighted mean of Kα1 and Kα2).

Crystal structure
```
data_Er7PtS5
_chemical_formula_sum 'Er14 Pt2 S10'
_cell_length_a 3.832
_cell_length_b 23.260
_cell_length_c 6.647
_cell_angle_alpha 90.00
_cell_angle_beta 106.68
_cell_angle_gamma 90.00
_space_group_name_H-M_alt 'P 1 21/m 1'
_space_group_IT_number 11
loop_
_space_group_symop_operation_xyz
'x,y,z'
'-x,-y,-z'
'-x,y+1/2,-z'
'x,-y+1/2,z'
loop_
_atom_site_label
_atom_site_type_symbol
_atom_site_fract_x
_atom_site_fract_y
_atom_site_fract_z
Er1 Er 0.036 0.250 0.071
Er2 Er 0.138 0.537 0.276
Er3 Er 0.306 0.178 0.612
Er4 Er 0.409 0.611 0.819
Pt1 Pt 0.302 0.750 0.605
S1 S 0.050 0.641 0.101
S2 S 0.225 0.070 0.450
S3 S 0.500 0.000 0.000
```

Top 10 peaks for 2θ = 10–90°, sorted by position:
- 28.8°, d 3.103, rel. 38, (1 4 0)
- 30.3°, d 2.946, rel. 100, (0 7 1)
- 31.0°, d 2.881, rel. 34, (1 5 -1)
- 32.4°, d 2.763, rel. 93, (1 2 -2)
- 33.6°, d 2.670, rel. 60, (1 3 1)
- 42.8°, d 2.113, rel. 28, (1 9 -1)
- 45.5°, d 1.993, rel. 21, (0 4 3)
- 47.1°, d 1.930, rel. 44, (0 5 3)
- 47.5°, d 1.916, rel. 32, (2 0 -1)
- 77.4°, d 1.233, rel. 24, (1 7 4)


No. 12
The following is a simulated X-ray diffraction stick pattern of ErSi2Sb2Pt7. It was derived from a DFT-relaxed cell (GGA-PBE, Alexandria), using Cu Kα (weighted mean of Kα1 and Kα2).

Crystal structure
```
data_ErSi2Sb2Pt7
_chemical_formula_sum 'Er2 Si4 Sb4 Pt14'
_cell_length_a 5.584
_cell_length_b 5.584
_cell_length_c 15.319
_cell_angle_alpha 90.00
_cell_angle_beta 100.45
_cell_angle_gamma 90.00
_space_group_name_H-M_alt 'C 1 2/m 1'
_space_group_IT_number 12
loop_
_space_group_symop_operation_xyz
'x,y,z'
'-x,-y,-z'
'-x,y,-z'
'x,-y,z'
'x+1/2,y+1/2,z'
'-x+1/2,-y+1/2,-z'
'-x+1/2,y+1/2,-z'
'x+1/2,-y+1/2,z'
loop_
_atom_site_label
_atom_site_type_symbol
_atom_site_fract_x
_atom_site_fract_y
_atom_site_fract_z
Er1 Er 0.000 0.000 0.000
Si1 Si 0.118 0.500 0.238
Sb1 Sb 0.211 0.000 0.422
Pt1 Pt 0.000 0.500 0.000
Pt2 Pt 0.177 0.250 0.853
Pt3 Pt 0.197 0.500 0.395
```

Top 10 peaks for 2θ = 10–90°, sorted by position:
- 11.7°, d 7.532, rel. 27, (0 0 2)
- 23.6°, d 3.766, rel. 24, (0 0 4)
- 29.7°, d 3.013, rel. 24, (0 0 5)
- 32.6°, d 2.745, rel. 37, (2 0 0)
- 34.3°, d 2.618, rel. 47, (2 0 -3)
- 36.8°, d 2.440, rel. 100, (2 0 -4)
- 44.2°, d 2.048, rel. 44, (2 0 4)
- 46.0°, d 1.974, rel. 62, (2 2 -1)
- 64.0°, d 1.455, rel. 26, (2 2 6)
- 71.1°, d 1.326, rel. 25, (2 0 9)